# 1
Structure and theoretical XRD peak list of TiFeP2O8 (a DFT-relaxed cell (GGA+U, the Materials Project); Cu Kα (λ = 1.5418 Å)).
Kinematic intensities with the Lorentz-polarization factor, no thermal factor.

Atomic structure:
```
TiFeP2O8
1.0
4.9849 0.0000 0.0000
0.0000 6.0298 0.0000
-0.0604 0.0000 9.9990
Ti Fe P O
2 2 4 16
direct
0.0299 0.2500 0.2236
0.9701 0.7500 0.7764
0.4716 0.2500 0.7291
0.5284 0.7500 0.2709
0.0559 0.7500 0.0972
0.3912 0.7500 0.6030
0.6088 0.2500 0.3970
0.9441 0.2500 0.9028
0.1415 0.7500 0.9470
0.1929 0.5458 0.1690
0.1929 0.9542 0.1690
0.2365 0.5552 0.6742
0.2365 0.9448 0.6742
0.2462 0.2500 0.8935
0.3098 0.2500 0.3537
0.3630 0.7500 0.4533
0.6370 0.2500 0.5467
0.6902 0.7500 0.6463
0.7538 0.7500 0.1065
0.7635 0.0552 0.3258
0.7635 0.4448 0.3258
0.8071 0.0458 0.8310
0.8071 0.4542 0.8310
0.8585 0.2500 0.0530
```

Largest 10 diffraction maxima, most intense first, 2θ = 15–90°:
d/Å, I (rel.)
4.459, 100
3.585, 72
3.015, 72
4.999, 69
2.523, 45
2.512, 42
3.848, 37
2.498, 31
1.921, 23
2.241, 20

# 2
Structure and theoretical XRD peak list of Li4TiCo2Ni3P6O24 (a DFT-relaxed cell (GGA+U, the Materials Project); Cu Kα (λ = 1.5418 Å)).
Kinematic intensities with the Lorentz-polarization factor, no thermal factor.

Atomic structure:
```
Li4TiCo2Ni3P6O24
1.0
8.4145 0.0000 0.0000
3.9530 7.5337 0.0000
3.9422 2.4384 7.1558
Li Ti Co Ni P O
4 1 2 3 6 24
direct
0.0000 0.0000 0.0000
0.0995 0.5062 0.8628
0.4559 0.7106 0.3045
0.8917 0.0679 0.5058
0.8929 0.5078 0.3054
0.2546 0.8572 0.6479
0.7342 0.3607 0.1504
0.1007 0.7107 0.5051
0.3870 0.0048 0.7956
0.6023 0.2140 0.0050
0.1919 0.1101 0.1926
0.3021 0.6089 0.1045
0.4992 0.4010 0.6068
0.6925 0.9138 0.4086
0.7983 0.8171 0.9068
0.9972 0.3114 0.7082
0.0653 0.4632 0.6777
0.1332 0.5347 0.1699
0.1437 0.1133 0.7153
0.1844 0.9506 0.3891
0.1921 0.0560 0.0451
0.2748 0.6742 0.2567
0.2819 0.7714 0.9203
0.3409 0.6007 0.5896
0.3513 0.1788 0.1345
0.4385 0.2482 0.6304
0.4947 0.4548 0.0784
0.4989 0.9145 0.5598
0.5782 0.3610 0.7517
0.6287 0.8595 0.8591
0.6498 0.4414 0.3983
0.6853 0.0996 0.2442
0.7541 0.7444 0.3390
0.7871 0.9596 0.9744
0.8292 0.6101 0.0584
0.8453 0.8806 0.4797
0.8456 0.2854 0.9037
0.9271 0.3712 0.5406
0.9872 0.2645 0.2389
0.9938 0.7937 0.7438
```

Largest 10 diffraction maxima, most intense first, 2θ = 15–90°:
d/Å, I (rel.)
4.387, 100
2.530, 39
3.690, 36
3.709, 36
3.662, 35
2.706, 35
2.689, 31
2.670, 29
2.538, 20
1.845, 13

# 3
Structure and theoretical XRD peak list of MgFe7Ni6O16 (a DFT-relaxed cell (GGA+U, the Materials Project); Cu Kα (λ = 1.5418 Å)).
Kinematic intensities with the Lorentz-polarization factor, no thermal factor.

Atomic structure:
```
MgFe7Ni6O16
1.0
6.0452 0.0000 0.0000
2.9906 5.2541 0.0000
2.6488 1.5935 9.8559
Mg Fe Ni O
1 7 6 16
direct
0.0000 0.0000 0.0000
0.2377 0.7479 0.2539
0.2433 0.2462 0.2325
0.2561 0.2539 0.7706
0.5000 0.5000 0.0000
0.7439 0.7461 0.2294
0.7567 0.7538 0.7675
0.7623 0.2521 0.7461
0.0000 0.0000 0.5000
0.0000 0.5000 0.5000
0.2580 0.7602 0.7451
0.5000 0.0000 0.5000
0.5000 0.5000 0.5000
0.7420 0.2398 0.2549
0.1010 0.0906 0.1482
0.1071 0.6375 0.1343
0.1303 0.1363 0.6201
0.1394 0.6167 0.6229
0.3627 0.3716 0.3764
0.3644 0.8977 0.8676
0.3757 0.8618 0.3774
0.4080 0.3939 0.8530
0.5920 0.6061 0.1470
0.6243 0.1382 0.6226
0.6356 0.1023 0.1324
0.6373 0.6284 0.6236
0.8606 0.3833 0.3771
0.8697 0.8637 0.3799
0.8929 0.3625 0.8657
0.8990 0.9094 0.8518
```

Largest 10 diffraction maxima, most intense first, 2θ = 15–90°:
d/Å, I (rel.)
2.166, 100
2.157, 99
2.094, 86
2.463, 81
1.510, 52
2.493, 45
2.456, 40
1.519, 29
1.500, 27
1.538, 27

Repeat the first record exactly.
Structure and theoretical XRD peak list of TiFeP2O8 (a DFT-relaxed cell (GGA+U, the Materials Project); Cu Kα (λ = 1.5418 Å)).
Kinematic intensities with the Lorentz-polarization factor, no thermal factor.

Atomic structure:
```
TiFeP2O8
1.0
4.9849 0.0000 0.0000
0.0000 6.0298 0.0000
-0.0604 0.0000 9.9990
Ti Fe P O
2 2 4 16
direct
0.0299 0.2500 0.2236
0.9701 0.7500 0.7764
0.4716 0.2500 0.7291
0.5284 0.7500 0.2709
0.0559 0.7500 0.0972
0.3912 0.7500 0.6030
0.6088 0.2500 0.3970
0.9441 0.2500 0.9028
0.1415 0.7500 0.9470
0.1929 0.5458 0.1690
0.1929 0.9542 0.1690
0.2365 0.5552 0.6742
0.2365 0.9448 0.6742
0.2462 0.2500 0.8935
0.3098 0.2500 0.3537
0.3630 0.7500 0.4533
0.6370 0.2500 0.5467
0.6902 0.7500 0.6463
0.7538 0.7500 0.1065
0.7635 0.0552 0.3258
0.7635 0.4448 0.3258
0.8071 0.0458 0.8310
0.8071 0.4542 0.8310
0.8585 0.2500 0.0530
```

Largest 10 diffraction maxima, most intense first, 2θ = 15–90°:
d/Å, I (rel.)
4.459, 100
3.585, 72
3.015, 72
4.999, 69
2.523, 45
2.512, 42
3.848, 37
2.498, 31
1.921, 23
2.241, 20